MoPb3: computed X-ray diffraction stick pattern (Cu Kα), based on a cell relaxed with GGA-PBE.
Kinematic intensities with the Lorentz-polarization factor, no thermal factor.

Cell and atoms:
Cell lengths 4.7761, 4.7761, 4.7761 Å; angles 90.00, 90.00, 90.00 degrees
Space group Pm-3m (No. 221)
Unique sites:
Mo: 0.0000 0.0000 0.0000 (multiplicity 1)
Pb: 0.0000 0.5000 0.5000 (multiplicity 3)

Principal peaks in the range 2θ from 10° to 90°, sorted by position:
| h k l | 2θ/deg | I/Imax |
| --- | --- | --- |
| 1 0 0 | 18.58 | 6 |
| 1 1 0 | 26.39 | 5 |
| 1 1 1 | 32.47 | 100 |
| 2 0 0 | 37.67 | 51 |
| 2 1 0 | 42.31 | 3 |
| 2 2 0 | 54.33 | 36 |
| 3 1 1 | 64.73 | 42 |
| 2 2 2 | 67.99 | 12 |
| 4 0 0 | 80.43 | 6 |
| 3 3 1 | 89.43 | 19 |



NaYSnP2SO12: computed X-ray diffraction stick pattern (Cu Kα), based on a cell relaxed with GGA-PBE.
Kinematic intensities with the Lorentz-polarization factor, no thermal factor.

Cell and atoms:
Cell lengths 15.5842, 8.9420, 9.3353 Å; angles 90.00, 122.72, 90.00 degrees
Space group Cc (No. 9)
Unique sites:
Na: 0.0000 0.2364 0.0000 (multiplicity 4)
Y: 0.3460 0.2575 0.0604 (multiplicity 4)
Sn: 0.1430 0.2493 0.4483 (multiplicity 4)
P: 0.1012 0.0942 0.7511 (multiplicity 4)
P: 0.2356 0.4547 0.2481 (multiplicity 4)
S: 0.3947 0.1116 0.7478 (multiplicity 4)
O: 0.0065 0.1641 0.7351 (multiplicity 4)
O: 0.0968 0.0814 0.2640 (multiplicity 4)
O: 0.1005 0.1199 0.5825 (multiplicity 4)
O: 0.1560 0.3606 0.2645 (multiplicity 4)
O: 0.1692 0.4478 0.5828 (multiplicity 4)
O: 0.1969 0.1552 0.9062 (multiplicity 4)
O: 0.3005 0.4494 0.9040 (multiplicity 4)
O: 0.3029 0.1766 0.5910 (multiplicity 4)
O: 0.3071 0.3475 0.2337 (multiplicity 4)
O: 0.3941 0.1393 0.9011 (multiplicity 4)
O: 0.4017 0.0504 0.2312 (multiplicity 4)
O: 0.4843 0.1866 0.7590 (multiplicity 4)

Principal peaks in the range 2θ from 10° to 90°, sorted by position:
| h k l | 2θ/deg | I/Imax |
| --- | --- | --- |
| 1 1 1 | 18.83 | 52 |
| 2 0 -2 | 19.06 | 28 |
| 0 2 0 | 19.80 | 100 |
| 3 1 0 | 22.64 | 29 |
| 0 2 1 | 22.93 | 57 |
| 2 2 -2 | 27.66 | 36 |
| 3 1 1 | 29.98 | 36 |
| 0 2 2 | 30.29 | 32 |
| 3 1 -3 | 30.48 | 34 |
| 3 3 -1 | 34.70 | 31 |



Li8TiS6: computed X-ray diffraction stick pattern (Cu Kα), based on a cell relaxed with GGA-PBE.
Kinematic intensities with the Lorentz-polarization factor, no thermal factor.

Cell and atoms:
Cell lengths 6.7206, 6.7206, 18.3070 Å; angles 90.00, 90.00, 120.00 degrees
Space group R-3 (No. 148, hexagonal axes)
Unique sites:
Li: 0.0000 0.0000 0.1586 (multiplicity 6)
Li: 0.0137 0.6971 0.7138 (multiplicity 18)
Ti: 0.0000 0.0000 0.5000 (multiplicity 3)
S: 0.0115 0.6988 0.5769 (multiplicity 18)

Principal peaks in the range 2θ from 10° to 90°, sorted by position:
| h k l | 2θ/deg | I/Imax |
| --- | --- | --- |
| 0 0 3 | 14.52 | 17 |
| 1 0 1 | 15.98 | 33 |
| 0 1 2 | 18.06 | 26 |
| 0 0 6 | 29.27 | 16 |
| 1 1 3 | 30.37 | 100 |
| 1 1 6 | 39.91 | 50 |
| 3 0 0 | 46.83 | 38 |
| 2 -1 9 | 52.59 | 25 |
| 4 -2 3 | 56.84 | 11 |
| 4 -2 6 | 63.18 | 10 |



EuY3: computed X-ray diffraction stick pattern (Cu Kα), based on a cell relaxed with GGA-PBE.
Kinematic intensities with the Lorentz-polarization factor, no thermal factor.

Cell and atoms:
Cell lengths 5.1488, 5.1488, 10.3171 Å; angles 90.00, 90.00, 90.00 degrees
Space group I4/mmm (No. 139)
Unique sites:
Eu: 0.0000 0.0000 0.0000 (multiplicity 2)
Y: 0.0000 0.0000 0.5000 (multiplicity 2)
Y: 0.0000 0.5000 0.2500 (multiplicity 4)

Principal peaks in the range 2θ from 10° to 90°, sorted by position:
| h k l | 2θ/deg | I/Imax |
| --- | --- | --- |
| 1 0 1 | 19.27 | 6 |
| 1 1 2 | 30.04 | 100 |
| 2 0 0 | 34.83 | 50 |
| 2 2 0 | 50.08 | 35 |
| 3 1 2 | 59.51 | 42 |
| 2 2 4 | 62.44 | 12 |
| 4 0 0 | 73.58 | 4 |
| 3 3 2 | 81.42 | 17 |
| 2 0 8 | 83.92 | 5 |
| 4 2 0 | 84.05 | 10 |



Cd5TeS4: computed X-ray diffraction stick pattern (Cu Kα), based on a cell relaxed with GGA-PBE.
Kinematic intensities with the Lorentz-polarization factor, no thermal factor.

Cell and atoms:
Cell lengths 4.3025, 4.3025, 30.1673 Å; angles 90.00, 90.00, 90.00 degrees
Space group I-4m2 (No. 119)
Unique sites:
Cd: 0.0000 0.0000 0.0000 (multiplicity 2)
Cd: 0.0000 0.0000 0.1906 (multiplicity 4)
Cd: 0.0000 0.0000 0.4041 (multiplicity 4)
Te: 0.0000 0.5000 0.2500 (multiplicity 2)
S: 0.0000 0.5000 0.0482 (multiplicity 4)
S: 0.0000 0.5000 0.6432 (multiplicity 4)

Principal peaks in the range 2θ from 10° to 90°, sorted by position:
| h k l | 2θ/deg | I/Imax |
| --- | --- | --- |
| 1 0 5 | 25.43 | 100 |
| 1 1 0 | 29.35 | 12 |
| 2 0 0 | 42.00 | 24 |
| 1 1 10 | 42.19 | 40 |
| 2 1 5 | 49.74 | 30 |
| 1 0 15 | 50.07 | 11 |
| 2 2 0 | 60.90 | 8 |
| 2 1 15 | 67.35 | 9 |
| 3 1 10 | 76.86 | 13 |
| 3 2 5 | 82.38 | 7 |



Cu3SbS3: computed X-ray diffraction stick pattern (Cu Kα), based on a cell relaxed with GGA-PBE.
Kinematic intensities with the Lorentz-polarization factor, no thermal factor.

Cell and atoms:
Cell lengths 6.5415, 8.0991, 10.2686 Å; angles 90.00, 90.00, 90.00 degrees
Space group P2_12_12_1 (No. 19)
Unique sites:
Cu: 0.0124 0.0762 0.0334 (multiplicity 4)
Cu: 0.0545 0.6691 0.0944 (multiplicity 4)
Cu: 0.1300 0.8678 0.4123 (multiplicity 4)
Sb: 0.1137 0.7253 0.7640 (multiplicity 4)
S: 0.1021 0.3180 0.9262 (multiplicity 4)
S: 0.1023 0.3383 0.5545 (multiplicity 4)
S: 0.1252 0.0497 0.2452 (multiplicity 4)

Principal peaks in the range 2θ from 10° to 90°, sorted by position:
| h k l | 2θ/deg | I/Imax |
| --- | --- | --- |
| 0 2 0 | 21.96 | 36 |
| 2 0 0 | 27.30 | 95 |
| 1 0 3 | 29.45 | 82 |
| 1 1 3 | 31.50 | 100 |
| 2 1 2 | 34.34 | 51 |
| 1 3 1 | 37.06 | 42 |
| 2 2 3 | 44.37 | 22 |
| 2 3 2 | 47.10 | 21 |
| 0 4 2 | 48.27 | 31 |
| 3 1 3 | 50.92 | 41 |



TiSi2: computed X-ray diffraction stick pattern (Cu Kα), based on a cell relaxed with GGA-PBE.
Kinematic intensities with the Lorentz-polarization factor, no thermal factor.

Cell and atoms:
Cell lengths 2.9457, 3.4243, 8.4242 Å; angles 90.00, 90.00, 90.00 degrees
Space group Immm (No. 71)
Unique sites:
Ti: 0.0000 0.0000 0.0000 (multiplicity 2)
Si: 0.0000 0.0000 0.3299 (multiplicity 4)

Principal peaks in the range 2θ from 10° to 90°, sorted by position:
| h k l | 2θ/deg | I/Imax |
| --- | --- | --- |
| 1 1 0 | 40.39 | 100 |
| 0 1 3 | 41.59 | 91 |
| 1 0 3 | 44.58 | 74 |
| 0 2 0 | 53.52 | 21 |
| 2 0 0 | 63.12 | 12 |
| 0 0 6 | 66.61 | 10 |
| 1 2 3 | 72.13 | 33 |
| 2 1 3 | 78.47 | 26 |
| 1 1 6 | 80.87 | 24 |
| 2 2 0 | 87.33 | 10 |